(1)
Theoretical powder X-ray diffraction pattern of Cs2TlGeCl6 for CuKα, from a GGA-PBE-relaxed structure.
Neutral-atom scattering factors, no anomalous dispersion.

Structure:
```
Cs2TlGeCl6
1.0
5.4598 0.0000 0.0000
0.0000 5.4598 0.0000
0.0000 0.0000 10.9980
Cs Tl Ge Cl
2 1 1 6
direct
0.0000 0.0000 0.2398 Cs
0.0000 0.0000 0.7602 Cs
0.5000 0.5000 0.5000 Tl
0.5000 0.5000 0.0000 Ge
0.0000 0.5000 0.0000 Cl
0.0000 0.5000 0.5000 Cl
0.5000 0.0000 0.0000 Cl
0.5000 0.0000 0.5000 Cl
0.5000 0.5000 0.2362 Cl
0.5000 0.5000 0.7638 Cl
```

Top 6 peaks for 2θ from 10° to 80°, most intense first:
2θ/deg  I (rel.)
22.98  1000
32.81  363
40.42  313
46.90  247
32.57  179
40.27  150

=====

(2)
Theoretical powder X-ray diffraction pattern of Sr5NpO8 for CuKα, from a GGA-PBE-relaxed structure.
Neutral-atom scattering factors, no anomalous dispersion.

Structure:
```
Sr5NpO8
1.0
-3.7575 3.7575 3.8661
3.7575 -3.7575 3.8661
3.7575 3.7575 -3.8661
Sr Np O
5 1 8
direct
0.0000 0.0000 0.0000 Sr
0.2479 0.6444 0.1380 Sr
0.3556 0.4936 0.6034 Sr
0.5064 0.1099 0.8620 Sr
0.8901 0.7521 0.3966 Sr
0.7500 0.2500 0.5000 Np
0.0563 0.2440 0.7149 O
0.1333 0.7336 0.7561 O
0.2664 0.0225 0.3997 O
0.5291 0.3414 0.2851 O
0.6228 0.8667 0.6003 O
0.6586 0.9437 0.1877 O
0.7560 0.4709 0.8123 O
0.9775 0.3772 0.2439 O
```

Top 6 peaks for 2θ from 10° to 80°, most intense first:
2θ/deg  I (rel.)
28.97  1000
28.55  567
36.87  401
37.75  380
16.45  322
44.76  297

=====

(3)
Theoretical powder X-ray diffraction pattern of LaAl2GaAg for CuKα, from a GGA-PBE-relaxed structure.
Neutral-atom scattering factors, no anomalous dispersion.

Structure:
```
LaAl2GaAg
1.0
-2.1593 2.1879 5.5575
2.1593 -2.1879 5.5575
2.1593 2.1879 -5.5575
La Al Ga Ag
1 2 1 1
direct
0.0000 0.0000 0.0000 La
0.3840 0.3840 0.0000 Al
0.7467 0.2467 0.5000 Al
0.6107 0.6107 0.0000 Ga
0.2503 0.7503 0.5000 Ag
```

Top 6 peaks for 2θ from 10° to 80°, most intense first:
2θ/deg  I (rel.)
33.31  1000
31.64  344
22.08  266
31.82  236
41.26  222
41.83  214